1.
Starting from a GGA-PBE-relaxed structure, the XRD peak list of Tl4SnTe4 was simulated for Cu Ka.
Neutral-atom scattering factors, no anomalous dispersion.

Structure:
Lattice parameters (Å, degrees): 8.176 8.176 8.176 120.42 120.42 89.27
Atoms (fractional coordinates):
Tl1 0.000 0.500 0.500
Tl2 0.150 0.150 0.000
Tl3 0.500 0.000 0.500
Tl4 0.850 0.850 0.000
Sn1 0.500 0.500 0.000
Te1 0.158 0.546 0.000
Te2 0.454 0.454 0.612
Te3 0.546 0.158 0.000
Te4 0.842 0.842 0.388

Top 8 peaks for 2θ = 10–90°, in order of rising 2θ:
2θ (°)  intensity
21.74  100
21.88  40
25.69  36
26.77  43
31.14  84
33.80  75
34.56  42
40.63  46



2.
Starting from a GGA-PBE-relaxed structure, the XRD peak list of Tm5SnTe5 was simulated for Cu Ka.
Neutral-atom scattering factors, no anomalous dispersion.

Structure:
Lattice parameters (Å, degrees): 7.472 7.472 8.601 106.75 106.75 48.21
Atoms (fractional coordinates):
Tm1 0.000 0.000 0.000
Tm2 0.338 0.338 0.168
Tm3 0.338 0.338 0.671
Tm4 0.662 0.662 0.329
Tm5 0.662 0.662 0.832
Sn1 0.500 0.500 0.000
Te1 0.166 0.166 0.830
Te2 0.168 0.168 0.337
Te3 0.500 0.500 0.500
Te4 0.832 0.832 0.663
Te5 0.834 0.834 0.170

Top 8 peaks for 2θ = 10–90°, in order of rising 2θ:
2θ (°)  intensity
29.30  100
41.90  63
42.02  13
51.91  13
52.03  14
68.84  23
76.49  13
76.70  9



3.
Starting from a GGA-PBE-relaxed structure, the XRD peak list of Tm6SnTe was simulated for Cu Ka.
Neutral-atom scattering factors, no anomalous dispersion.

Structure:
Lattice parameters (Å, degrees): 5.719 5.719 13.630 90.00 90.00 90.00
Atoms (fractional coordinates):
Tm1 0.000 0.000 0.241
Tm2 0.000 0.000 0.759
Tm3 0.000 0.500 0.119
Tm4 0.000 0.500 0.381
Tm5 0.000 0.500 0.619
Tm6 0.000 0.500 0.881
Tm7 0.500 0.000 0.119
Tm8 0.500 0.000 0.381
Tm9 0.500 0.000 0.619
Tm10 0.500 0.000 0.881
Tm11 0.500 0.500 0.259
Tm12 0.500 0.500 0.741
Sn1 0.000 0.000 0.000
Sn2 0.500 0.500 0.500
Te1 0.000 0.000 0.500
Te2 0.500 0.500 0.000

Top 8 peaks for 2θ = 10–90°, in order of rising 2θ:
2θ (°)  intensity
31.28  66
34.42  100
44.82  25
57.71  46
63.56  16
72.55  11
74.14  11
75.90  10



4.
Starting from a GGA-PBE-relaxed structure, the XRD peak list of TmSn5Te7 was simulated for Cu Ka.
Neutral-atom scattering factors, no anomalous dispersion.

Structure:
Lattice parameters (Å, degrees): 7.836 7.836 26.012 90.00 90.00 147.60
Atoms (fractional coordinates):
Tm1 0.208 0.792 0.500
Tm2 0.792 0.208 0.000
Sn1 0.014 0.986 0.739
Sn2 0.256 0.744 0.163
Sn3 0.288 0.712 0.813
Sn4 0.442 0.558 0.388
Sn5 0.476 0.524 0.586
Sn6 0.524 0.476 0.086
Sn7 0.558 0.442 0.888
Sn8 0.712 0.288 0.313
Sn9 0.744 0.256 0.663
Sn10 0.986 0.014 0.239
Te1 0.071 0.929 0.343
Te2 0.118 0.882 0.612
Te3 0.175 0.825 0.056
Te4 0.207 0.793 0.921
Te5 0.348 0.652 0.276
Te6 0.378 0.622 0.699
Te7 0.432 0.568 0.983
Te8 0.568 0.432 0.483
Te9 0.622 0.378 0.199
Te10 0.652 0.348 0.776
Te11 0.793 0.207 0.421
Te12 0.825 0.175 0.556
Te13 0.882 0.118 0.112
Te14 0.929 0.071 0.843

Top 8 peaks for 2θ = 10–90°, in order of rising 2θ:
2θ (°)  intensity
26.76  66
27.93  100
28.98  89
37.79  45
38.88  33
39.90  32
40.30  32
41.30  42



5.
Starting from a GGA-PBE-relaxed structure, the XRD peak list of Y2Sn2Te was simulated for Cu Ka.
Neutral-atom scattering factors, no anomalous dispersion.

Structure:
Lattice parameters (Å, degrees): 4.177 4.177 16.453 90.00 90.00 90.00
Atoms (fractional coordinates):
Y1 0.000 0.000 0.104
Y2 0.000 0.000 0.896
Y3 0.500 0.500 0.396
Y4 0.500 0.500 0.604
Sn1 0.000 0.500 0.250
Sn2 0.000 0.500 0.750
Sn3 0.500 0.000 0.250
Sn4 0.500 0.000 0.750
Te1 0.000 0.000 0.500
Te2 0.500 0.500 0.000

Top 8 peaks for 2θ = 10–90°, in order of rising 2θ:
2θ (°)  intensity
26.83  35
32.20  100
34.71  44
37.49  29
43.33  39
56.66  21
64.87  23
72.48  20



6.
Starting from a GGA-PBE-relaxed structure, the XRD peak list of ZnSnTe3 was simulated for Cu Ka.
Neutral-atom scattering factors, no anomalous dispersion.

Structure:
Lattice parameters (Å, degrees): 5.330 5.330 5.330 90.00 90.00 90.00
Atoms (fractional coordinates):
Zn1 0.000 0.000 0.000
Sn1 0.500 0.500 0.500
Te1 0.000 0.000 0.500
Te2 0.000 0.500 0.000
Te3 0.500 0.000 0.000

Top 8 peaks for 2θ = 10–90°, in order of rising 2θ:
2θ (°)  intensity
29.02  100
33.63  91
48.29  66
57.33  44
60.14  23
70.70  10
78.17  18
80.60  29



7.
Starting from a GGA-PBE-relaxed structure, the XRD peak list of Zr6SnTe was simulated for Cu Ka.
Neutral-atom scattering factors, no anomalous dispersion.

Structure:
Lattice parameters (Å, degrees): 5.627 5.627 5.631 90.38 90.12 90.33
Atoms (fractional coordinates):
Zr1 0.001 0.000 0.247
Zr2 0.252 0.497 0.000
Zr3 0.499 0.753 0.498
Zr4 0.501 0.247 0.502
Zr5 0.748 0.503 0.000
Zr6 0.999 0.000 0.753
Sn1 0.500 0.000 0.000
Te1 0.000 0.500 0.500

Top 8 peaks for 2θ = 10–90°, in order of rising 2θ:
2θ (°)  intensity
31.80  91
35.60  99
35.74  100
39.11  87
39.21  68
39.37  51
61.58  40
66.45  37



8.
Starting from a GGA-PBE-relaxed structure, the XRD peak list of Th3Sn5 was simulated for Cu Ka.
Neutral-atom scattering factors, no anomalous dispersion.

Structure:
Lattice parameters (Å, degrees): 9.295 10.016 4.820 90.00 90.00 90.00
Atoms (fractional coordinates):
Th1 0.000 0.000 0.000
Th2 0.000 0.280 0.500
Th3 0.000 0.720 0.500
Th4 0.500 0.220 0.500
Th5 0.500 0.500 0.000
Th6 0.500 0.780 0.500
Sn1 0.000 0.500 0.000
Sn2 0.232 0.000 0.500
Sn3 0.250 0.250 0.000
Sn4 0.250 0.750 0.000
Sn5 0.268 0.500 0.500
Sn6 0.500 0.000 0.000
Sn7 0.732 0.500 0.500
Sn8 0.750 0.250 0.000
Sn9 0.750 0.750 0.000
Sn10 0.768 0.000 0.500

Top 8 peaks for 2θ = 10–90°, in order of rising 2θ:
2θ (°)  intensity
32.18  100
35.86  16
37.32  18
38.75  16
52.72  11
54.89  12
64.09  15
66.04  14



9.
Starting from a GGA-PBE-relaxed structure, the XRD peak list of ThSn6 was simulated for Cu Ka.
Neutral-atom scattering factors, no anomalous dispersion.

Structure:
Lattice parameters (Å, degrees): 8.013 8.013 8.013 90.00 90.00 90.00
Atoms (fractional coordinates):
Th1 0.000 0.000 0.000
Th2 0.500 0.500 0.500
Sn1 0.000 0.250 0.500
Sn2 0.000 0.500 0.250
Sn3 0.000 0.500 0.750
Sn4 0.000 0.750 0.500
Sn5 0.250 0.000 0.500
Sn6 0.250 0.500 0.000
Sn7 0.500 0.000 0.250
Sn8 0.500 0.000 0.750
Sn9 0.500 0.250 0.000
Sn10 0.500 0.750 0.000
Sn11 0.750 0.000 0.500
Sn12 0.750 0.500 0.000

Top 8 peaks for 2θ = 10–90°, in order of rising 2θ:
2θ (°)  intensity
22.19  41
27.26  100
42.20  64
45.27  27
50.97  19
63.60  20
65.94  18
72.75  20



10.
Starting from a GGA-PBE-relaxed structure, the XRD peak list of Th4Sn3 was simulated for Cu Ka.
Neutral-atom scattering factors, no anomalous dispersion.

Structure:
Lattice parameters (Å, degrees): 9.204 9.204 9.204 59.94 59.94 59.94
Atoms (fractional coordinates):
Th1 0.219 0.760 0.760
Th2 0.239 0.239 0.239
Th3 0.240 0.240 0.781
Th4 0.240 0.781 0.240
Th5 0.760 0.219 0.760
Th6 0.760 0.760 0.219
Th7 0.761 0.761 0.761
Th8 0.781 0.240 0.240
Sn1 0.000 0.000 0.000
Sn2 0.000 0.000 0.500
Sn3 0.000 0.500 0.000
Sn4 0.375 0.375 0.375
Sn5 0.500 0.000 0.000
Sn6 0.625 0.625 0.625

Top 8 peaks for 2θ = 10–90°, in order of rising 2θ:
2θ (°)  intensity
23.69  66
27.42  85
35.86  29
39.17  100
46.28  28
48.47  22
64.00  26
70.97  30



11.
Starting from a GGA-PBE-relaxed structure, the XRD peak list of TmTh3Sn2 was simulated for Cu Ka.
Neutral-atom scattering factors, no anomalous dispersion.

Structure:
Lattice parameters (Å, degrees): 4.582 4.582 8.767 90.00 90.00 90.00
Atoms (fractional coordinates):
Tm1 0.000 0.000 0.000
Th1 0.000 0.500 0.355
Th2 0.500 0.000 0.645
Th3 0.500 0.500 0.000
Sn1 0.000 0.500 0.728
Sn2 0.500 0.000 0.272

Top 8 peaks for 2θ = 10–90°, in order of rising 2θ:
2θ (°)  intensity
28.17  31
29.39  100
30.59  37
34.42  73
39.32  56
50.63  38
65.26  22
68.16  21



12.
Starting from a GGA-PBE-relaxed structure, the XRD peak list of YTh4Sn4 was simulated for Cu Ka.
Neutral-atom scattering factors, no anomalous dispersion.

Structure:
Lattice parameters (Å, degrees): 7.663 7.663 7.663 99.85 99.85 131.15
Atoms (fractional coordinates):
Y1 0.000 0.000 0.000
Th1 0.209 0.598 0.807
Th2 0.402 0.209 0.610
Th3 0.598 0.791 0.390
Th4 0.791 0.402 0.193
Sn1 0.093 0.298 0.391
Sn2 0.298 0.907 0.205
Sn3 0.702 0.093 0.795
Sn4 0.907 0.702 0.609

Top 8 peaks for 2θ = 10–90°, in order of rising 2θ:
2θ (°)  intensity
24.58  31
28.16  50
28.61  100
40.58  80
40.90  37
50.40  41
66.15  20
74.27  25



13.
Starting from a GGA-PBE-relaxed structure, the XRD peak list of Th3ZrSn2 was simulated for Cu Ka.
Neutral-atom scattering factors, no anomalous dispersion.

Structure:
Lattice parameters (Å, degrees): 9.837 9.837 9.837 142.47 54.37 142.14
Atoms (fractional coordinates):
Th1 0.180 0.243 0.423
Th2 0.250 0.250 0.000
Th3 0.320 0.743 0.063
Th4 0.680 0.257 0.937
Th5 0.750 0.750 0.000
Th6 0.820 0.757 0.577
Zr1 0.250 0.750 0.500
Zr2 0.750 0.250 0.500
Sn1 0.132 0.732 0.864
Sn2 0.368 0.232 0.600
Sn3 0.632 0.768 0.400
Sn4 0.868 0.268 0.136

Top 8 peaks for 2θ = 10–90°, in order of rising 2θ:
2θ (°)  intensity
28.47  77
29.80  85
30.03  83
30.65  62
34.80  61
35.00  63
40.13  100
51.33  59



14.
Starting from a GGA-PBE-relaxed structure, the XRD peak list of ThZr4Sn2 was simulated for Cu Ka.
Neutral-atom scattering factors, no anomalous dispersion.

Structure:
Lattice parameters (Å, degrees): 3.844 3.876 11.890 99.26 99.16 90.00
Atoms (fractional coordinates):
Th1 0.000 0.000 0.000
Zr1 0.145 0.145 0.290
Zr2 0.280 0.280 0.560
Zr3 0.720 0.720 0.440
Zr4 0.855 0.855 0.710
Sn1 0.414 0.414 0.829
Sn2 0.586 0.586 0.171

Top 8 peaks for 2θ = 10–90°, in order of rising 2θ:
2θ (°)  intensity
32.81  100
35.68  70
35.81  69
46.88  19
47.30  18
60.31  15
60.41  15
60.56  15